1.
# InCuO2
Computed powder XRD pattern, Cu Kα X-rays. Input: a GGA-PBE-relaxed structure.
Neutral-atom scattering factors, no anomalous dispersion.

Main lines, low angle first (2θ from 5° to 70°):
2θ = 15.22°, I 23.2, hkl 0 0 2; 2θ = 30.72°, I 42.6, hkl 0 0 4; 2θ = 31.70°, I 34.8, hkl 1 0 1; 2θ = 34.46°, I 100.0, hkl 1 0 2; 2θ = 44.00°, I 20.4, hkl 1 0 4; 2θ = 54.63°, I 28.0, hkl 1 1 0; 2θ = 57.05°, I 32.8, hkl 1 0 6; 2θ = 63.99°, I 26.8, hkl 0 0 8; 2θ = 64.54°, I 7.8, hkl 1 0 7; 2θ = 66.21°, I 14.2, hkl 2 0 2

Cell and atoms:
```
data_InCuO2
_chemical_formula_sum 'In2 Cu2 O4'
_symmetry_space_group_name_H-M 'P 63/m m c'
_symmetry_Int_Tables_number 194
_symmetry_space_group_name_Hall '-P 6c 2c'
_cell_length_a 3.3598
_cell_length_b 3.3598
_cell_length_c 11.6435
_cell_angle_alpha 90.00
_cell_angle_beta 90.00
_cell_angle_gamma 120.00
loop_
_atom_site_label
_atom_site_type_symbol
_atom_site_fract_x
_atom_site_fract_y
_atom_site_fract_z
In1 In 0.0000 0.0000 0.0000
Cu1 Cu 0.3333 0.6667 0.2500
O1 O 0.3333 0.6667 0.0913
```


2.
# TiS
Computed powder XRD pattern, Cu Kα X-rays. Input: a GGA-PBE-relaxed structure.
Neutral-atom scattering factors, no anomalous dispersion.

Main lines, low angle first (2θ from 5° to 70°):
2θ = 30.08°, I 36.8, hkl 1 0 1; 2θ = 34.41°, I 61.6, hkl 0 1 5; 2θ = 38.31°, I 51.1, hkl 1 0 7; 2θ = 40.59°, I 100.0, hkl 0 1 8; 2θ = 45.66°, I 30.5, hkl 1 0 10; 2θ = 53.06°, I 70.8, hkl 1 1 0; 2θ = 54.35°, I 19.2, hkl 1 0 13; 2θ = 62.92°, I 10.0, hkl 0 0 18; 2θ = 67.32°, I 8.3, hkl 0 2 7; 2θ = 68.88°, I 19.1, hkl 2 0 8

Cell and atoms:
```
data_TiS
_chemical_formula_sum 'Ti9 S9'
_symmetry_space_group_name_H-M 'R -3 m'
_symmetry_Int_Tables_number 166
_symmetry_space_group_name_Hall '-R 3 2"'
_cell_length_a 3.4521
_cell_length_b 3.4521
_cell_length_c 26.5899
_cell_angle_alpha 90.00
_cell_angle_beta 90.00
_cell_angle_gamma 120.00
loop_
_atom_site_label
_atom_site_type_symbol
_atom_site_fract_x
_atom_site_fract_y
_atom_site_fract_z
Ti1 Ti 0.0000 0.0000 0.0000
Ti2 Ti 0.0000 0.0000 0.1187
S1 S 0.0000 0.0000 0.2766
S2 S 0.0000 0.0000 0.5000
```


What did the second record say?
# TiS
Computed powder XRD pattern, Cu Kα X-rays. Input: a GGA-PBE-relaxed structure.
Neutral-atom scattering factors, no anomalous dispersion.

Main lines, low angle first (2θ from 5° to 70°):
2θ = 30.08°, I 36.8, hkl 1 0 1; 2θ = 34.41°, I 61.6, hkl 0 1 5; 2θ = 38.31°, I 51.1, hkl 1 0 7; 2θ = 40.59°, I 100.0, hkl 0 1 8; 2θ = 45.66°, I 30.5, hkl 1 0 10; 2θ = 53.06°, I 70.8, hkl 1 1 0; 2θ = 54.35°, I 19.2, hkl 1 0 13; 2θ = 62.92°, I 10.0, hkl 0 0 18; 2θ = 67.32°, I 8.3, hkl 0 2 7; 2θ = 68.88°, I 19.1, hkl 2 0 8

Cell and atoms:
```
data_TiS
_chemical_formula_sum 'Ti9 S9'
_symmetry_space_group_name_H-M 'R -3 m'
_symmetry_Int_Tables_number 166
_symmetry_space_group_name_Hall '-R 3 2"'
_cell_length_a 3.4521
_cell_length_b 3.4521
_cell_length_c 26.5899
_cell_angle_alpha 90.00
_cell_angle_beta 90.00
_cell_angle_gamma 120.00
loop_
_atom_site_label
_atom_site_type_symbol
_atom_site_fract_x
_atom_site_fract_y
_atom_site_fract_z
Ti1 Ti 0.0000 0.0000 0.0000
Ti2 Ti 0.0000 0.0000 0.1187
S1 S 0.0000 0.0000 0.2766
S2 S 0.0000 0.0000 0.5000
```